No. 1
# Li3NiSb4O12
Calculated powder X-ray diffraction pattern, Cu Kα X-rays. Input: the PBE+U geometry in the Materials Project.
Intensities are scaled so that the largest is 1000.

abc: 5.2374 5.5768 7.6525
angles: 94.80 90.00 90.10
Sites, in units of the cell vectors:
Li: 0.0000 0.0000 0.0000
Li: 0.0009 0.0025 0.4922
Li: 0.5000 0.5073 0.4949
Ni: 0.5010 0.5328 0.9872
Sb: 0.9997 0.4265 0.7797
Sb: 0.0031 0.4280 0.2860
Sb: 0.4969 0.9388 0.7789
Sb: 0.4998 0.9345 0.2884
O: 0.1429 0.3981 0.0370
O: 0.1605 0.0924 0.7316
O: 0.1990 0.7281 0.3680
O: 0.3041 0.2309 0.3686
O: 0.3349 0.5919 0.7379
O: 0.3679 0.8903 0.0383
O: 0.6368 0.9039 0.5345
O: 0.6730 0.5973 0.2281
O: 0.6905 0.2385 0.8697
O: 0.7988 0.7253 0.8680
O: 0.8285 0.0989 0.2306
O: 0.8639 0.4056 0.5343

Top 10 peaks for 2θ from 10° to 90°, low angle first:
2θ = 23.34°, I = 1000
2θ = 32.23°, I = 552
2θ = 34.22°, I = 421
2θ = 41.83°, I = 155
2θ = 47.72°, I = 236
2θ = 52.40°, I = 314
2θ = 55.10°, I = 138
2θ = 56.18°, I = 83
2θ = 60.01°, I = 170
2θ = 61.24°, I = 113

No. 2
# Li3Ni2SbO6
Calculated powder X-ray diffraction pattern, Cu Kα X-rays. Input: the PBE+U geometry in the Materials Project.
Intensities are scaled so that the largest is 1000.

abc: 6.5792 6.5792 6.1728
angles: 103.00 103.00 26.90
Sites, in units of the cell vectors:
Li: 0.0000 0.0000 0.0000
Li: 0.3231 0.3231 0.6974
Li: 0.6769 0.6769 0.3026
Ni: 0.3282 0.3282 0.1470
Ni: 0.6718 0.6718 0.8530
Sb: 0.0000 0.0000 0.5000
O: 0.1563 0.1563 0.5921
O: 0.1637 0.1637 0.0721
O: 0.4964 0.4964 0.7218
O: 0.5036 0.5036 0.2782
O: 0.8363 0.8363 0.9279
O: 0.8437 0.8437 0.4079

Top 10 peaks for 2θ from 10° to 90°, low angle first:
2θ = 18.00°, I = 1000
2θ = 34.39°, I = 324
2θ = 35.42°, I = 168
2θ = 36.47°, I = 229
2θ = 41.55°, I = 474
2θ = 43.62°, I = 203
2θ = 46.74°, I = 132
2θ = 54.99°, I = 108
2θ = 61.57°, I = 123
2θ = 62.06°, I = 130